Structure and calculated powder X-ray diffraction pattern of Tb8Y2Pu (a DFT-relaxed cell (PBE, Alexandria); Cu Kα X-rays).
Kinematic intensities with the Lorentz-polarization factor, no thermal factor.

Largest 10 diffraction maxima, by angle, 15° ≤ 2θ ≤ 90°:
27.90°, d = 3.198 Å, intensity 27; 28.58°, d = 3.123 Å, intensity 19; 31.05°, d = 2.880 Å, intensity 41; 31.97°, d = 2.799 Å, intensity 100; 32.13°, d = 2.786 Å, intensity 61; 32.49°, d = 2.755 Å, intensity 27; 32.96°, d = 2.717 Å, intensity 67; 57.64°, d = 1.599 Å, intensity 20; 58.14°, d = 1.587 Å, intensity 25; 63.71°, d = 1.461 Å, intensity 20

```
data_Tb8Y2Pu
_symmetry_space_group_name_H-M 'C 1 2/m 1'
_symmetry_Int_Tables_number 12
_symmetry_space_group_name_Hall '-C 2y'
_cell_length_a 11.0217
_cell_length_b 6.9289
_cell_length_c 10.8698
_cell_angle_alpha 90.00
_cell_angle_beta 120.46
_cell_angle_gamma 90.00
loop_
_atom_site_label
_atom_site_type_symbol
_atom_site_fract_x
_atom_site_fract_y
_atom_site_fract_z
_atom_site_occupancy
Tb1 Tb 0.0547 0.0000 0.3743 1
Tb2 Tb 0.1237 0.5000 0.9419 1
Tb3 Tb 0.2445 0.2522 0.7332 1
Y1 Y 0.0909 0.5000 0.4163 1
Pu1 Pu 0.0000 0.0000 0.0000 1
```

---

Structure and calculated powder X-ray diffraction pattern of KCeAlS4 (a DFT-relaxed cell (PBE, Alexandria); Cu Kα X-rays).
Kinematic intensities with the Lorentz-polarization factor, no thermal factor.

Largest 10 diffraction maxima, by angle, 15° ≤ 2θ ≤ 90°:
17.09°, d = 5.188 Å, intensity 39; 19.53°, d = 4.545 Å, intensity 100; 20.05°, d = 4.428 Å, intensity 39; 27.04°, d = 3.297 Å, intensity 62; 29.90°, d = 2.988 Å, intensity 45; 32.05°, d = 2.793 Å, intensity 85; 32.91°, d = 2.722 Å, intensity 67; 34.58°, d = 2.594 Å, intensity 47; 34.85°, d = 2.575 Å, intensity 48; 39.66°, d = 2.272 Å, intensity 48

```
data_KCeAlS4
_symmetry_space_group_name_H-M 'P 1 21/m 1'
_symmetry_Int_Tables_number 11
_symmetry_space_group_name_Hall '-P 2yb'
_cell_length_a 6.5865
_cell_length_b 6.5944
_cell_length_c 8.8239
_cell_angle_alpha 90.00
_cell_angle_beta 107.77
_cell_angle_gamma 90.00
loop_
_atom_site_label
_atom_site_type_symbol
_atom_site_fract_x
_atom_site_fract_y
_atom_site_fract_z
_atom_site_occupancy
K1 K 0.2319 0.2500 0.4397 1
Ce1 Ce 0.2696 0.2500 0.9460 1
Al1 Al 0.2681 0.7500 0.1702 1
S1 S 0.0531 0.7500 0.9185 1
S2 S 0.0647 0.7500 0.3298 1
S3 S 0.4951 0.5062 0.7950 1
```